Ca3Pm4Hg3N2: computed PXRD pattern (copper Kα), based on a crystal structure in Alexandria, relaxed with GGA-PBE.
No peak broadening, texture or thermal motion is included.

Atomic structure:
Unit cell a=4.9659 b=5.0072 c=24.5672 alpha=90.00 beta=90.00 gamma=90.00
Space group Immm (No. 71)
Asymmetric unit:
Ca 0.0000 0.0000 0.0000
Ca 0.0000 0.5000 0.4053
Pm 0.0000 0.0000 0.1978
Pm 0.0000 0.5000 0.0940
Hg 0.0000 0.0000 0.3240
Hg 0.0000 0.0000 0.5000
N 0.0000 0.0000 0.1038

Largest 10 diffraction maxima, in order of rising 2θ, 5 to 70 degrees two-theta:
two_theta, I_rel, hkl
18.08, 29.2, 0 1 1
25.26, 31.2, 1 1 0
26.30, 22.2, 1 1 2
29.20, 25.9, 1 1 4
31.19, 21.0, 1 0 7
33.54, 100.0, 1 1 6
35.87, 33.5, 0 2 0
36.18, 32.7, 2 0 0
51.86, 23.2, 2 2 0
62.98, 16.3, 1 3 6



Ca3Pr4Hg3N2: computed PXRD pattern (copper Kα), based on a crystal structure in Alexandria, relaxed with GGA-PBE.
No peak broadening, texture or thermal motion is included.

Atomic structure:
Unit cell a=4.9664 b=5.1302 c=24.7422 alpha=90.00 beta=90.00 gamma=90.00
Space group Immm (No. 71)
Asymmetric unit:
Ca 0.0000 0.0000 0.0000
Ca 0.0000 0.5000 0.4060
Pr 0.0000 0.0000 0.1975
Pr 0.0000 0.5000 0.0928
Hg 0.0000 0.0000 0.3248
Hg 0.0000 0.0000 0.5000
N 0.0000 0.0000 0.1024

Largest 10 diffraction maxima, in order of rising 2θ, 5 to 70 degrees two-theta:
two_theta, I_rel, hkl
17.66, 29.6, 0 1 1
24.95, 31.4, 1 1 0
25.99, 20.9, 1 1 2
28.88, 26.7, 1 1 4
31.06, 16.2, 1 0 7
33.20, 100.0, 1 1 6
34.98, 34.0, 0 2 0
36.17, 31.0, 2 0 0
51.20, 25.4, 2 2 0
61.61, 17.0, 1 3 6



Ca4HgSbN: computed PXRD pattern (copper Kα), based on a crystal structure in Alexandria, relaxed with GGA-PBE.
No peak broadening, texture or thermal motion is included.

Atomic structure:
Unit cell a=6.8802 b=15.8366 c=6.8823 alpha=90.00 beta=90.00 gamma=90.00
Space group Cmcm (No. 63)
Asymmetric unit:
Ca 0.0000 0.0903 0.2500
Ca 0.0000 0.4033 0.2500
Ca 0.2500 0.2500 0.0000
Hg 0.0000 0.3959 0.7500
Sb 0.0000 0.1125 0.7500
N 0.0000 0.2489 0.2500

Largest 10 diffraction maxima, in order of rising 2θ, 5 to 70 degrees two-theta:
two_theta, I_rel, hkl
19.08, 44.8, 1 1 1
22.46, 25.6, 0 4 0
24.89, 62.3, 1 3 1
25.90, 70.1, 2 0 0
28.28, 29.7, 2 2 0
34.54, 100.0, 2 4 0
36.95, 62.2, 2 0 2
45.06, 26.6, 3 3 1
51.06, 24.8, 2 6 2
65.03, 30.6, 4 4 2



NaCaHg3: computed PXRD pattern (copper Kα), based on a crystal structure in Alexandria, relaxed with GGA-PBE.
No peak broadening, texture or thermal motion is included.

Atomic structure:
Unit cell a=3.7329 b=29.8981 c=4.9755 alpha=90.00 beta=90.00 gamma=90.00
Space group Cmcm (No. 63)
Asymmetric unit:
Na 0.0000 0.0748 0.2500
Ca 0.0000 0.2084 0.7500
Hg 0.0000 0.3174 0.7500
Hg 0.0000 0.3783 0.2500
Hg 0.0000 0.4751 0.2500

Largest 10 diffraction maxima, in order of rising 2θ, 5 to 70 degrees two-theta:
two_theta, I_rel, hkl
17.80, 35.9, 0 6 0
21.45, 62.2, 0 4 1
24.02, 100.0, 1 1 0
31.27, 86.1, 1 3 1
35.01, 98.1, 0 10 1
36.10, 57.3, 0 0 2
40.63, 77.2, 1 9 1
43.84, 42.7, 1 1 2
61.46, 39.0, 2 10 1
62.15, 31.9, 2 0 2



Na2CaHg6: computed PXRD pattern (copper Kα), based on a crystal structure in Alexandria, relaxed with GGA-PBE.
No peak broadening, texture or thermal motion is included.

Atomic structure:
Unit cell a=3.5470 b=8.6371 c=15.3021 alpha=90.00 beta=90.00 gamma=90.00
Space group Immm (No. 71)
Asymmetric unit:
Na 0.0000 0.0000 0.1454
Ca 0.0000 0.5000 0.0000
Hg 0.0000 0.1741 0.3254
Hg 0.0000 0.3275 0.5000

Largest 10 diffraction maxima, in order of rising 2θ, 5 to 70 degrees two-theta:
two_theta, I_rel, hkl
20.22, 53.3, 0 1 3
20.57, 42.7, 0 2 0
25.78, 68.2, 1 0 1
29.62, 42.5, 1 1 2
33.21, 39.2, 1 2 1
35.19, 50.2, 0 0 6
35.82, 100.0, 0 3 3
38.87, 42.6, 1 0 5
42.11, 52.1, 1 3 2
64.34, 36.9, 2 3 3



Na4CaHg4: computed PXRD pattern (copper Kα), based on a crystal structure in Alexandria, relaxed with GGA-PBE.
No peak broadening, texture or thermal motion is included.

Atomic structure:
Unit cell a=9.7441 b=9.7441 c=5.4948 alpha=90.00 beta=90.00 gamma=90.00
Space group P4_2/n (No. 86, origin choice 2)
Asymmetric unit:
Na 0.1026 0.8417 0.1324
Ca 0.2500 0.2500 0.7500
Hg 0.0507 0.1329 0.3552

Largest 10 diffraction maxima, in order of rising 2θ, 5 to 70 degrees two-theta:
two_theta, I_rel, hkl
12.85, 32.5, 1 1 0
18.54, 69.8, 1 0 1
20.68, 56.3, 1 1 1
26.10, 46.6, 1 2 1
28.98, 91.5, 1 3 0
30.63, 33.2, 2 2 1
32.01, 64.8, 3 0 1
37.07, 48.8, 3 2 1
38.75, 100.0, 2 1 2
58.02, 46.6, 5 0 2



Na2CaHg9: computed PXRD pattern (copper Kα), based on a crystal structure in Alexandria, relaxed with GGA-PBE.
No peak broadening, texture or thermal motion is included.

Atomic structure:
Unit cell a=4.6903 b=4.6903 c=14.1014 alpha=90.00 beta=90.00 gamma=90.00
Space group P4/mmm (No. 123)
Asymmetric unit:
Na 0.0000 0.0000 0.1660
Ca 0.0000 0.0000 0.5000
Hg 0.0000 0.5000 0.0000
Hg 0.0000 0.5000 0.3320
Hg 0.5000 0.5000 0.1689
Hg 0.5000 0.5000 0.5000

Largest 10 diffraction maxima, in order of rising 2θ, 5 to 70 degrees two-theta:
two_theta, I_rel, hkl
18.91, 20.5, 1 0 0
26.86, 18.1, 1 1 0
33.06, 100.0, 1 1 3
38.35, 50.5, 2 0 0
43.09, 10.7, 2 1 0
47.45, 8.2, 1 1 6
55.36, 35.1, 2 2 0
65.94, 13.9, 1 1 9
66.05, 27.8, 3 1 3
69.36, 12.0, 2 2 6



NaCa2Hg2Pb2: computed PXRD pattern (copper Kα), based on a crystal structure in Alexandria, relaxed with GGA-PBE.
No peak broadening, texture or thermal motion is included.

Atomic structure:
Unit cell a=5.1893 b=5.1893 c=27.4921 alpha=90.00 beta=90.00 gamma=120.00
Space group R-3m (No. 166, hexagonal axes)
Asymmetric unit:
Na 0.0000 0.0000 0.0000
Ca 0.0000 0.0000 0.1326
Hg 0.0000 0.0000 0.4395
Pb 0.0000 0.0000 0.2637

Largest 10 diffraction maxima, in order of rising 2θ, 5 to 70 degrees two-theta:
two_theta, I_rel, hkl
19.37, 51.8, 0 0 6
20.02, 46.3, 1 0 1
23.65, 35.8, 1 0 4
30.22, 79.6, 1 0 7
34.57, 100.0, 1 1 0
38.38, 31.9, 1 0 10
39.93, 52.3, 1 1 6
46.57, 24.4, 0 2 7
59.27, 23.8, 2 1 7
61.95, 19.8, 3 0 0



NaCaHgSe2: computed PXRD pattern (copper Kα), based on a crystal structure in Alexandria, relaxed with GGA-PBE.
No peak broadening, texture or thermal motion is included.

Atomic structure:
Unit cell a=4.8902 b=7.3204 c=7.8256 alpha=90.00 beta=90.00 gamma=90.00
Space group Pccm (No. 49)
Asymmetric unit:
Na 0.0000 0.0000 0.2500
Ca 0.5000 0.5000 0.2500
Hg 0.5000 0.0000 0.0000
Se 0.1542 0.3117 0.0000

Largest 10 diffraction maxima, in order of rising 2θ, 5 to 70 degrees two-theta:
two_theta, I_rel, hkl
12.09, 33.8, 0 1 0
21.86, 37.2, 1 1 0
22.73, 53.7, 0 0 2
24.67, 31.5, 1 1 1
30.51, 48.6, 1 2 0
31.74, 100.0, 1 1 2
36.81, 28.2, 0 3 0
38.38, 40.5, 1 2 2
43.72, 31.6, 0 3 2
45.46, 23.5, 2 1 2



NaCa2Sn2Hg2: computed PXRD pattern (copper Kα), based on a crystal structure in Alexandria, relaxed with GGA-PBE.
No peak broadening, texture or thermal motion is included.

Atomic structure:
Unit cell a=5.0840 b=5.0840 c=27.9615 alpha=90.00 beta=90.00 gamma=120.00
Space group R-3m (No. 166, hexagonal axes)
Asymmetric unit:
Na 0.0000 0.0000 0.0000
Ca 0.0000 0.0000 0.1319
Sn 0.0000 0.0000 0.2580
Hg 0.0000 0.0000 0.4331

Largest 10 diffraction maxima, in order of rising 2θ, 5 to 70 degrees two-theta:
two_theta, I_rel, hkl
9.49, 21.6, 0 0 3
19.04, 69.2, 0 0 6
20.42, 57.7, 1 0 1
30.21, 88.2, 1 0 7
35.31, 100.0, 1 1 0
38.13, 25.3, 1 0 10
40.42, 64.5, 1 1 6
47.14, 25.9, 0 2 7
60.24, 24.9, 2 1 7
63.37, 18.4, 3 0 0



CaNd2Hg3: computed PXRD pattern (copper Kα), based on a crystal structure in Alexandria, relaxed with GGA-PBE.
No peak broadening, texture or thermal motion is included.

Atomic structure:
Unit cell a=5.3957 b=5.3957 c=13.2520 alpha=90.00 beta=90.00 gamma=120.00
Space group P-3m1 (No. 164)
Asymmetric unit:
Ca 0.3333 0.6667 0.1662
Nd 0.0000 0.0000 0.0000
Nd 0.0000 0.0000 0.5000
Nd 0.3333 0.6667 0.6718
Hg 0.0000 0.0000 0.2484
Hg 0.3333 0.6667 0.4159
Hg 0.3333 0.6667 0.9172

Largest 10 diffraction maxima, in order of rising 2θ, 5 to 70 degrees two-theta:
two_theta, I_rel, hkl
20.14, 3.2, 1 0 1
23.29, 10.1, 0 1 2
33.18, 100.0, 1 1 0
40.96, 2.6, 2 0 2
47.63, 18.3, 0 2 4
53.67, 4.8, 1 1 6
59.18, 9.6, 0 1 8
59.31, 28.6, 3 0 0
69.57, 5.9, 2 0 8
69.71, 5.9, 2 2 0



Ca8Ni2Hg: computed PXRD pattern (copper Kα), based on a crystal structure in Alexandria, relaxed with GGA-PBE.
No peak broadening, texture or thermal motion is included.

Atomic structure:
Unit cell a=8.9963 b=13.2693 c=5.8896 alpha=90.00 beta=104.27 gamma=90.00
Space group Cm (No. 8)
Asymmetric unit:
Ca 0.0000 0.0000 0.0000
Ca 0.0756 0.3664 0.7845
Ca 0.1770 0.1343 0.6107
Ca 0.2559 0.5000 0.4022
Ca 0.3758 0.2396 0.1981
Ni 0.3768 0.3136 0.7016
Hg 0.3770 0.0000 0.2874

Largest 10 diffraction maxima, in order of rising 2θ, 5 to 70 degrees two-theta:
two_theta, I_rel, hkl
12.15, 47.7, 1 1 0
17.65, 58.9, 1 1 -1
20.37, 40.1, 2 0 0
20.53, 58.3, 0 2 1
21.67, 36.2, 1 1 1
31.19, 100.0, 0 4 1
31.64, 64.0, 3 1 -1
33.96, 48.9, 2 4 0
37.01, 50.7, 3 3 0
37.73, 39.3, 1 5 -1



CaNi2Hg: computed PXRD pattern (copper Kα), based on a crystal structure in Alexandria, relaxed with GGA-PBE.
No peak broadening, texture or thermal motion is included.

Atomic structure:
Unit cell a=7.6723 b=4.4232 c=5.3836 alpha=90.00 beta=118.05 gamma=90.00
Space group C2/m (No. 12)
Asymmetric unit:
Ca 0.0000 0.0000 0.0000
Ni 0.1888 0.0000 0.5660
Hg 0.0000 0.5000 0.5000

Largest 10 diffraction maxima, in order of rising 2θ, 5 to 70 degrees two-theta:
two_theta, I_rel, hkl
18.68, 100.0, 0 0 1
24.04, 24.0, 1 1 0
26.44, 25.1, 1 1 -1
34.32, 35.8, 1 1 1
34.44, 17.7, 2 0 -2
37.87, 24.6, 0 0 2
40.77, 76.2, 0 2 0
45.10, 21.3, 3 1 0
45.25, 42.3, 0 2 1
57.00, 16.5, 3 1 -3



CaHg2P: computed PXRD pattern (copper Kα), based on a crystal structure in Alexandria, relaxed with GGA-PBE.
No peak broadening, texture or thermal motion is included.

Atomic structure:
Unit cell a=5.3448 b=5.3750 c=7.7757 alpha=85.72 beta=74.16 gamma=69.65
Space group P-1 (No. 2)
Asymmetric unit:
Ca 0.1470 0.2215 0.1419
Hg 0.2218 0.6548 0.4362
Hg 0.3206 0.0986 0.6911
P 0.3130 0.6746 0.0368

Largest 10 diffraction maxima, in order of rising 2θ, 5 to 70 degrees two-theta:
two_theta, I_rel, hkl
11.83, 100.0, 0 0 1
21.49, 26.9, 0 1 1
29.94, 51.4, 1 -1 1
30.08, 62.5, 0 1 2
34.06, 50.7, 1 2 0
34.07, 40.7, 2 1 1
34.75, 38.1, 1 -1 2
35.05, 45.7, 1 1 -2
35.91, 35.9, 1 0 3
37.21, 22.4, 2 0 0